[1]
Calculated X-ray diffraction stick pattern of Li4Ag4Au3 for Cu Kα, from a structure optimized by DFT (PBE).
Kinematic intensities with the Lorentz-polarization factor, no thermal factor.

Atomic structure:
```
data_Li4Ag4Au3
_cell_length_a 2.9009
_cell_length_b 3.8993
_cell_length_c 16.2709
_cell_angle_alpha 96.87
_cell_angle_beta 94.33
_cell_angle_gamma 90.08
_space_group_name_H-M_alt 'P -1'
_space_group_IT_number 2
loop_
_space_group_symop_operation_xyz
'x,y,z'
'-x,-y,-z'
loop_
_atom_site_label
_atom_site_type_symbol
_atom_site_fract_x
_atom_site_fract_y
_atom_site_fract_z
Li1 Li 0.0458 0.0438 0.0896
Li2 Li 0.3236 0.3216 0.6419
Ag1 Ag 0.2280 0.2268 0.4524
Ag2 Ag 0.4101 0.4120 0.8230
Au1 Au 0.1354 0.1362 0.2757
Au2 Au 0.5000 0.5000 0.0000
```

Most intense lines, 10° ≤ 2θ ≤ 80°, in order of rising 2θ:
2theta  d/Å  I/Imax  h k l
22.07  4.027  47.9  0 0 4
24.28  3.665  100.0  0 1 -2
31.85  2.810  24.9  1 0 1
32.07  2.791  25.7  1 0 -2
38.44  2.342  97.4  0 1 5
38.69  2.327  96.7  1 1 -1
43.62  2.075  34.1  1 0 5
44.25  2.047  32.5  1 0 -6
46.58  1.950  28.3  0 2 -1
66.20  1.412  19.8  -1 2 5

[2]
Calculated X-ray diffraction stick pattern of Li2Ag7Au2 for Cu Kα, from a structure optimized by DFT (PBE).
Kinematic intensities with the Lorentz-polarization factor, no thermal factor.

Atomic structure:
```
data_Li2Ag7Au2
_cell_length_a 4.1875
_cell_length_b 8.4623
_cell_length_c 11.3289
_cell_angle_alpha 90.00
_cell_angle_beta 90.00
_cell_angle_gamma 90.00
_space_group_name_H-M_alt 'I m m m'
_space_group_IT_number 71
_space_group_name_Hall '-I 2 2'
loop_
_atom_site_label
_atom_site_type_symbol
_atom_site_fract_x
_atom_site_fract_y
_atom_site_fract_z
Li1 Li 0.0000 0.0000 0.1674
Ag1 Ag 0.0000 0.2431 0.3335
Ag2 Ag 0.0000 0.5000 0.1541
Ag3 Ag 0.0000 0.5000 0.5000
Au1 Au 0.0000 0.2333 0.0000
```

Most intense lines, 10° ≤ 2θ ≤ 80°, in order of rising 2θ:
2theta  d/Å  I/Imax  h k l
21.00  4.231  18.2  0 2 0
25.84  3.449  13.9  0 1 3
31.91  2.804  14.0  1 0 3
38.51  2.338  100.0  1 2 3
42.74  2.116  16.2  0 4 0
43.21  2.094  16.9  2 0 0
48.20  1.888  11.7  0 0 6
62.40  1.488  10.2  2 4 0
75.44  1.260  10.5  1 6 3
76.10  1.251  13.0  3 2 3

[3]
Calculated X-ray diffraction stick pattern of Li8Ag5Au for Cu Kα, from a structure optimized by DFT (PBE).
Kinematic intensities with the Lorentz-polarization factor, no thermal factor.

Atomic structure:
```
data_Li8Ag5Au
_cell_length_a 8.1436
_cell_length_b 8.1436
_cell_length_c 7.3782
_cell_angle_alpha 90.00
_cell_angle_beta 90.00
_cell_angle_gamma 90.00
_space_group_name_H-M_alt 'I -4'
_space_group_IT_number 82
loop_
_space_group_symop_operation_xyz
'x,y,z'
'y,-x,-z'
'-x,-y,z'
'-y,x,-z'
'x+1/2,y+1/2,z+1/2'
'y+1/2,-x+1/2,-z+1/2'
'-x+1/2,-y+1/2,z+1/2'
'-y+1/2,x+1/2,-z+1/2'
loop_
_atom_site_label
_atom_site_type_symbol
_atom_site_fract_x
_atom_site_fract_y
_atom_site_fract_z
Li1 Li 0.0256 0.1647 0.1889
Li2 Li 0.1388 0.2780 0.5369
Ag1 Ag 0.0000 0.5000 0.2500
Ag2 Ag 0.0925 0.3406 0.8890
Au1 Au 0.0000 0.0000 0.5000
```

Most intense lines, 10° ≤ 2θ ≤ 80°, in order of rising 2θ:
2theta  d/Å  I/Imax  h k l
16.21  5.468  32.1  1 0 1
21.83  4.072  26.5  2 0 0
27.31  3.266  100.0  2 1 1
28.74  3.106  33.2  1 1 2
34.84  2.575  22.1  1 3 0
38.23  2.354  30.2  1 0 3
41.83  2.160  19.7  2 3 1
42.83  2.112  40.4  3 1 2
47.66  1.908  19.9  1 4 1
50.08  1.822  18.5  4 2 0

[4]
Calculated X-ray diffraction stick pattern of LiAg6Au8 for Cu Kα, from a structure optimized by DFT (PBE).
Kinematic intensities with the Lorentz-polarization factor, no thermal factor.

Atomic structure:
```
data_LiAg6Au8
_cell_length_a 8.4157
_cell_length_b 8.4157
_cell_length_c 4.8196
_cell_angle_alpha 90.00
_cell_angle_beta 90.00
_cell_angle_gamma 120.00
_space_group_name_H-M_alt 'P 6/m m m'
_space_group_IT_number 191
_space_group_name_Hall '-P 6 2'
loop_
_atom_site_label
_atom_site_type_symbol
_atom_site_fract_x
_atom_site_fract_y
_atom_site_fract_z
Li1 Li 0.0000 0.0000 0.0000
Ag1 Ag 0.2137 0.4273 0.0000
Au1 Au 0.0000 0.3237 0.5000
Au2 Au 0.3333 0.6667 0.5000
```

Most intense lines, 10° ≤ 2θ ≤ 80°, in order of rising 2θ:
2theta  d/Å  I/Imax  h k l
12.14  7.288  16.9  1 0 0
18.41  4.820  27.7  0 0 1
24.43  3.644  16.3  2 0 0
37.00  2.429  30.1  3 0 0
37.32  2.410  32.2  0 0 2
37.61  2.392  28.4  2 1 1
41.63  2.169  100.0  3 0 1
53.56  1.711  21.4  3 0 2
70.24  1.340  21.4  3 0 3
78.98  1.212  20.3  3 3 2

[5]
Calculated X-ray diffraction stick pattern of Li9Ag4Au11 for Cu Kα, from a structure optimized by DFT (PBE).
Kinematic intensities with the Lorentz-polarization factor, no thermal factor.

Atomic structure:
```
data_Li9Ag4Au11
_cell_length_a 14.4775
_cell_length_b 18.7125
_cell_length_c 2.8804
_cell_angle_alpha 90.00
_cell_angle_beta 90.00
_cell_angle_gamma 90.00
_space_group_name_H-M_alt 'C m m m'
_space_group_IT_number 65
_space_group_name_Hall '-C 2 2'
loop_
_atom_site_label
_atom_site_type_symbol
_atom_site_fract_x
_atom_site_fract_y
_atom_site_fract_z
Li1 Li 0.0000 0.0000 0.0000
Li2 Li 0.0999 0.4027 0.0000
Li3 Li 0.1220 0.2216 0.0000
Ag1 Ag 0.1608 0.0780 0.0000
Au1 Au 0.0000 0.1321 0.5000
Au2 Au 0.0000 0.3031 0.5000
Au3 Au 0.0000 0.5000 0.5000
Au4 Au 0.1966 0.5000 0.5000
Au5 Au 0.2165 0.3227 0.5000
```

Most intense lines, 10° ≤ 2θ ≤ 80°, in order of rising 2θ:
2theta  d/Å  I/Imax  h k l
24.58  3.622  100.0  4 0 0
31.05  2.880  34.4  0 0 1
36.65  2.452  24.9  3 1 1
38.09  2.363  25.8  4 6 0
38.50  2.338  24.8  3 7 0
39.34  2.290  45.2  5 5 0
40.00  2.254  66.5  4 0 1
42.73  2.116  43.6  0 6 1
44.63  2.030  25.2  5 1 1
50.94  1.793  31.2  5 5 1

[6]
Calculated X-ray diffraction stick pattern of LiAg3Au2 for Cu Kα, from a structure optimized by DFT (PBE).
Kinematic intensities with the Lorentz-polarization factor, no thermal factor.

Atomic structure:
```
data_LiAg3Au2
_cell_length_a 7.2644
_cell_length_b 8.0010
_cell_length_c 7.2764
_cell_angle_alpha 90.00
_cell_angle_beta 100.83
_cell_angle_gamma 90.00
_space_group_name_H-M_alt 'C 1 2/c 1'
_space_group_IT_number 15
loop_
_space_group_symop_operation_xyz
'x,y,z'
'-x,-y,-z'
'-x,y,-z+1/2'
'x,-y,z+1/2'
'x+1/2,y+1/2,z'
'-x+1/2,-y+1/2,-z'
'-x+1/2,y+1/2,-z+1/2'
'x+1/2,-y+1/2,z+1/2'
loop_
_atom_site_label
_atom_site_type_symbol
_atom_site_fract_x
_atom_site_fract_y
_atom_site_fract_z
Li1 Li 0.0000 0.0829 0.2500
Ag1 Ag 0.0000 0.4070 0.2500
Ag2 Ag 0.2391 0.0789 0.9974
Au1 Au 0.1234 0.2457 0.6240
```

Most intense lines, 10° ≤ 2θ ≤ 80°, in order of rising 2θ:
2theta  d/Å  I/Imax  h k l
22.19  4.006  32.2  0 2 0
38.94  2.313  85.8  2 0 2
39.24  2.296  100.0  1 1 -3
56.44  1.630  22.7  0 2 4
56.53  1.628  11.5  2 4 -2
66.78  1.401  5.7  4 0 -4
70.46  1.336  9.6  3 3 3
70.60  1.334  10.6  0 6 0
70.73  1.332  23.0  0 4 4
70.81  1.331  5.6  3 5 -1

[7]
Calculated X-ray diffraction stick pattern of LiAg4Au4 for Cu Kα, from a structure optimized by DFT (PBE).
Kinematic intensities with the Lorentz-polarization factor, no thermal factor.

Atomic structure:
```
data_LiAg4Au4
_cell_length_a 8.7632
_cell_length_b 8.7632
_cell_length_c 4.0995
_cell_angle_alpha 90.00
_cell_angle_beta 90.00
_cell_angle_gamma 90.00
_space_group_name_H-M_alt 'I 4/m m m'
_space_group_IT_number 139
_space_group_name_Hall '-I 4 2'
loop_
_atom_site_label
_atom_site_type_symbol
_atom_site_fract_x
_atom_site_fract_y
_atom_site_fract_z
Li1 Li 0.0000 0.0000 0.0000
Ag1 Ag 0.1641 0.1641 0.5000
Au1 Au 0.0000 0.3281 0.0000
```

Most intense lines, 10° ≤ 2θ ≤ 80°, in order of rising 2θ:
2theta  d/Å  I/Imax  h k l
14.29  6.197  19.7  1 1 0
28.82  3.098  7.3  2 2 0
31.58  2.833  17.7  2 1 1
37.82  2.379  100.0  3 0 1
43.83  2.066  32.8  3 3 0
44.19  2.050  16.1  0 0 2
63.72  1.461  10.6  6 0 0
63.99  1.455  21.0  3 3 2
76.54  1.245  25.0  6 3 1
77.05  1.238  12.5  3 0 3

[8]
Calculated X-ray diffraction stick pattern of Li4AgAu3 for Cu Kα, from a structure optimized by DFT (PBE).
Kinematic intensities with the Lorentz-polarization factor, no thermal factor.

Atomic structure:
```
data_Li4AgAu3
_cell_length_a 4.4244
_cell_length_b 4.4244
_cell_length_c 21.8263
_cell_angle_alpha 90.00
_cell_angle_beta 90.00
_cell_angle_gamma 120.00
_space_group_name_H-M_alt 'R -3 m'
_space_group_IT_number 166
_space_group_name_Hall '-R 3 2"'
loop_
_atom_site_label
_atom_site_type_symbol
_atom_site_fract_x
_atom_site_fract_y
_atom_site_fract_z
Li1 Li 0.0000 0.0000 0.1236
Li2 Li 0.0000 0.0000 0.3732
Ag1 Ag 0.0000 0.0000 0.5000
Au1 Au 0.0000 0.0000 0.0000
Au2 Au 0.0000 0.0000 0.2481
```

Most intense lines, 10° ≤ 2θ ≤ 80°, in order of rising 2θ:
2theta  d/Å  I/Imax  h k l
28.46  3.136  100.0  1 0 4
40.59  2.222  43.8  0 1 8
40.79  2.212  43.5  1 1 0
50.49  1.808  20.9  0 2 4
58.90  1.568  14.7  2 0 8
66.56  1.405  18.1  1 1 12
66.84  1.400  18.1  2 1 4
73.72  1.285  7.5  1 0 16
74.12  1.279  15.1  1 2 8
74.26  1.277  7.5  3 0 0

[9]
Calculated X-ray diffraction stick pattern of LiAg9Au4 for Cu Kα, from a structure optimized by DFT (PBE).
Kinematic intensities with the Lorentz-polarization factor, no thermal factor.

Atomic structure:
```
data_LiAg9Au4
_cell_length_a 8.1272
_cell_length_b 8.1272
_cell_length_c 9.0971
_cell_angle_alpha 90.00
_cell_angle_beta 90.00
_cell_angle_gamma 120.00
_space_group_name_H-M_alt 'P 63/m m c'
_space_group_IT_number 194
_space_group_name_Hall '-P 6c 2c'
loop_
_atom_site_label
_atom_site_type_symbol
_atom_site_fract_x
_atom_site_fract_y
_atom_site_fract_z
Li1 Li 0.3333 0.6667 0.2500
Ag1 Ag 0.0532 0.5266 0.7500
Ag2 Ag 0.2124 0.4248 0.0278
Au1 Au 0.0000 0.0000 0.0000
Au2 Au 0.1155 0.2311 0.7500
```

Most intense lines, 10° ≤ 2θ ≤ 80°, in order of rising 2θ:
2theta  d/Å  I/Imax  h k l
12.58  7.038  35.1  1 0 0
27.17  3.282  10.9  2 0 1
32.15  2.784  12.6  1 0 3
38.37  2.346  8.8  3 0 0
39.23  2.296  100.0  2 1 2
39.66  2.273  58.0  0 0 4
64.85  1.438  15.5  3 0 5
69.38  1.355  10.8  3 3 0
69.96  1.345  12.2  5 0 2
71.65  1.317  10.9  2 1 6

[10]
Calculated X-ray diffraction stick pattern of Li6Ag2AuN for Cu Kα, from a structure optimized by DFT (PBE).
Kinematic intensities with the Lorentz-polarization factor, no thermal factor.

Atomic structure:
```
data_Li6Ag2AuN
_cell_length_a 8.9673
_cell_length_b 8.8003
_cell_length_c 5.4096
_cell_angle_alpha 90.00
_cell_angle_beta 126.81
_cell_angle_gamma 90.00
_space_group_name_H-M_alt 'C 1 2/m 1'
_space_group_IT_number 12
loop_
_space_group_symop_operation_xyz
'x,y,z'
'-x,-y,-z'
'-x,y,-z'
'x,-y,z'
'x+1/2,y+1/2,z'
'-x+1/2,-y+1/2,-z'
'-x+1/2,y+1/2,-z'
'x+1/2,-y+1/2,z'
loop_
_atom_site_label
_atom_site_type_symbol
_atom_site_fract_x
_atom_site_fract_y
_atom_site_fract_z
Li1 Li 0.0000 0.2153 0.0000
Li2 Li 0.1913 0.0000 0.4334
Li3 Li 0.1969 0.0000 0.9615
Ag1 Ag 0.0000 0.3360 0.5000
Au1 Au 0.0000 0.5000 0.0000
N1 N 0.0000 0.0000 0.0000
```

Most intense lines, 10° ≤ 2θ ≤ 80°, in order of rising 2θ:
2theta  d/Å  I/Imax  h k l
15.93  5.563  100.0  1 1 0
24.80  3.590  41.2  2 0 0
28.96  3.083  57.0  0 2 1
33.12  2.705  19.2  2 0 -2
34.79  2.579  31.6  1 3 -1
36.90  2.436  14.6  1 1 -2
37.01  2.429  14.6  3 1 -2
43.15  2.097  17.6  1 3 1
43.25  2.092  17.4  3 3 -1
46.30  1.961  27.0  0 4 1

[11]
Calculated X-ray diffraction stick pattern of LiNdAgAu for Cu Kα, from a structure optimized by DFT (PBE).
Kinematic intensities with the Lorentz-polarization factor, no thermal factor.

Atomic structure:
```
data_LiNdAgAu
_cell_length_a 4.6302
_cell_length_b 4.6302
_cell_length_c 14.3170
_cell_angle_alpha 90.00
_cell_angle_beta 90.00
_cell_angle_gamma 120.00
_space_group_name_H-M_alt 'R 3 m'
_space_group_IT_number 160
_space_group_name_Hall 'R 3 -2"'
loop_
_atom_site_label
_atom_site_type_symbol
_atom_site_fract_x
_atom_site_fract_y
_atom_site_fract_z
Li1 Li 0.0000 0.0000 0.0000
Nd1 Nd 0.0000 0.0000 0.4935
Ag1 Ag 0.0000 0.0000 0.2775
Au1 Au 0.0000 0.0000 0.7107
```

Most intense lines, 10° ≤ 2θ ≤ 80°, in order of rising 2θ:
2theta  d/Å  I/Imax  h k l
23.03  3.861  87.7  1 0 1
25.46  3.498  27.0  0 1 2
33.56  2.670  93.0  1 0 4
38.64  2.330  81.1  0 1 5
38.90  2.315  100.0  1 1 0
52.30  1.749  26.4  0 2 4
55.99  1.642  27.4  2 0 5
67.06  1.396  25.0  2 1 4
70.27  1.340  27.7  1 2 5
72.03  1.311  29.1  1 1 9

[12]
Calculated X-ray diffraction stick pattern of LiAgPdAu2 for Cu Kα, from a structure optimized by DFT (PBE).
Kinematic intensities with the Lorentz-polarization factor, no thermal factor.

Atomic structure:
```
data_LiAgPdAu2
_cell_length_a 6.3419
_cell_length_b 4.0790
_cell_length_c 6.4410
_cell_angle_alpha 90.00
_cell_angle_beta 90.78
_cell_angle_gamma 90.00
_space_group_name_H-M_alt 'P 1 21/m 1'
_space_group_IT_number 11
loop_
_space_group_symop_operation_xyz
'x,y,z'
'-x,-y,-z'
'-x,y+1/2,-z'
'x,-y+1/2,z'
loop_
_atom_site_label
_atom_site_type_symbol
_atom_site_fract_x
_atom_site_fract_y
_atom_site_fract_z
Li1 Li 0.2394 0.2500 0.2471
Ag1 Ag 0.4523 0.2500 0.6448
Pd1 Pd 0.1463 0.7500 0.5516
Au1 Au 0.0423 0.2500 0.8416
Au2 Au 0.3514 0.7500 0.9473
```

Most intense lines, 10° ≤ 2θ ≤ 80°, in order of rising 2θ:
2theta  d/Å  I/Imax  h k l
13.75  6.440  10.2  0 0 1
25.97  3.431  8.7  1 1 0
38.46  2.341  100.0  2 1 -1
44.39  2.041  33.4  0 2 0
45.34  2.000  15.5  3 0 1
64.58  1.443  12.3  1 2 -3
65.35  1.428  15.5  3 2 1
77.71  1.229  12.7  3 1 -4
77.79  1.228  12.9  2 3 -1
79.11  1.211  12.0  5 1 0

What did the ninth record say?
Calculated X-ray diffraction stick pattern of LiAg9Au4 for Cu Kα, from a structure optimized by DFT (PBE).
Kinematic intensities with the Lorentz-polarization factor, no thermal factor.

Atomic structure:
```
data_LiAg9Au4
_cell_length_a 8.1272
_cell_length_b 8.1272
_cell_length_c 9.0971
_cell_angle_alpha 90.00
_cell_angle_beta 90.00
_cell_angle_gamma 120.00
_space_group_name_H-M_alt 'P 63/m m c'
_space_group_IT_number 194
_space_group_name_Hall '-P 6c 2c'
loop_
_atom_site_label
_atom_site_type_symbol
_atom_site_fract_x
_atom_site_fract_y
_atom_site_fract_z
Li1 Li 0.3333 0.6667 0.2500
Ag1 Ag 0.0532 0.5266 0.7500
Ag2 Ag 0.2124 0.4248 0.0278
Au1 Au 0.0000 0.0000 0.0000
Au2 Au 0.1155 0.2311 0.7500
```

Most intense lines, 10° ≤ 2θ ≤ 80°, in order of rising 2θ:
2theta  d/Å  I/Imax  h k l
12.58  7.038  35.1  1 0 0
27.17  3.282  10.9  2 0 1
32.15  2.784  12.6  1 0 3
38.37  2.346  8.8  3 0 0
39.23  2.296  100.0  2 1 2
39.66  2.273  58.0  0 0 4
64.85  1.438  15.5  3 0 5
69.38  1.355  10.8  3 3 0
69.96  1.345  12.2  5 0 2
71.65  1.317  10.9  2 1 6